Record 1
Starting from a DFT-relaxed cell (GGA-PBE, the Materials Project), the powder X-ray diffraction pattern of K2ScP2Se7 was calculated for a wavelength of 1.5418 Å.

Cell and atoms:
Cell lengths 23.043, 6.942, 20.201 Å; angles 90.00, 113.82, 90.00 degrees
Space group C2/c (No. 15)
One atom of each set of equivalent atoms:
K 0.005 0.034 0.358 [8 per cell]
K 0.202 0.186 0.669 [8 per cell]
Sc 0.167 0.333 0.002 [8 per cell]
P 0.051 0.484 0.043 [8 per cell]
P 0.179 0.092 0.858 [8 per cell]
Se 0.059 0.444 0.651 [8 per cell]
Se 0.073 0.174 0.031 [8 per cell]
Se 0.107 0.330 0.500 [8 per cell]
Se 0.113 0.331 0.854 [8 per cell]
Se 0.136 0.141 0.282 [8 per cell]
Se 0.217 0.008 0.476 [8 per cell]
Se 0.232 0.301 0.148 [8 per cell]

Most intense lines, 10 to 90 degrees two-theta, in order of rising 2θ:
d 5.720, rel. 19; d 3.603, rel. 15; d 3.412, rel. 32; d 3.080, rel. 36; d 2.964, rel. 100; d 2.936, rel. 14; d 2.916, rel. 17; d 2.886, rel. 18; d 2.859, rel. 20; d 2.202, rel. 18

***

Record 2
Starting from a DFT-relaxed cell (GGA-PBE, the Materials Project), the powder X-ray diffraction pattern of K3PSe16 was calculated for a wavelength of 1.5418 Å.

Cell and atoms:
Cell lengths 16.815, 16.815, 16.815 Å; angles 90.00, 90.00, 90.00 degrees
Space group Fd-3 (No. 203, origin choice 2)
One atom of each set of equivalent atoms:
K 0.000 0.000 0.000 [16 per cell]
K 0.125 0.125 0.625 [8 per cell]
P 0.125 0.125 0.125 [8 per cell]
Se 0.009 0.320 0.636 [96 per cell]
Se 0.048 0.048 0.202 [32 per cell]

Most intense lines, 10 to 90 degrees two-theta, in order of rising 2θ:
d 5.070, rel. 62; d 3.432, rel. 42; d 3.236, rel. 100; d 2.842, rel. 60; d 2.802, rel. 37; d 2.659, rel. 32; d 2.564, rel. 29; d 2.247, rel. 25; d 1.880, rel. 37; d 1.690, rel. 30

***

Record 3
Starting from a DFT-relaxed cell (GGA-PBE, the Materials Project), the powder X-ray diffraction pattern of K2PSe3 was calculated for a wavelength of 1.5418 Å.

Cell and atoms:
Cell lengths 14.059, 12.615, 8.950 Å; angles 90.00, 91.25, 90.00 degrees
Space group P2_1/c (No. 14)
One atom of each set of equivalent atoms:
K 0.061 0.210 0.332 [4 per cell]
K 0.206 0.603 0.784 [4 per cell]
K 0.313 0.565 0.322 [4 per cell]
K 0.422 0.235 0.225 [4 per cell]
P 0.068 0.508 0.429 [4 per cell]
P 0.431 0.529 0.937 [4 per cell]
Se 0.031 0.035 0.697 [4 per cell]
Se 0.110 0.676 0.453 [4 per cell]
Se 0.176 0.099 0.031 [4 per cell]
Se 0.317 0.084 0.497 [4 per cell]
Se 0.402 0.691 0.020 [4 per cell]
Se 0.460 0.529 0.695 [4 per cell]

Most intense lines, 10 to 90 degrees two-theta, in order of rising 2θ:
d 6.525, rel. 64; d 3.188, rel. 52; d 3.103, rel. 59; d 2.985, rel. 77; d 2.887, rel. 75; d 2.877, rel. 50; d 2.855, rel. 48; d 2.831, rel. 54; d 2.793, rel. 50; d 2.746, rel. 100

***

Record 4
Starting from a DFT-relaxed cell (GGA-PBE, the Materials Project), the powder X-ray diffraction pattern of K3PSe4 was calculated for a wavelength of 1.5418 Å.

Cell and atoms:
Cell lengths 9.538, 11.047, 9.868 Å; angles 90.00, 90.00, 90.00 degrees
Space group Pnma (No. 62)
One atom of each set of equivalent atoms:
K 0.059 0.046 0.197 [8 per cell]
K 0.139 0.750 0.418 [4 per cell]
P 0.224 0.750 0.978 [4 per cell]
Se 0.018 0.750 0.087 [4 per cell]
Se 0.157 0.083 0.532 [8 per cell]
Se 0.188 0.750 0.755 [4 per cell]

Most intense lines, 10 to 90 degrees two-theta, in order of rising 2θ:
d 5.827, rel. 49; d 4.302, rel. 22; d 4.002, rel. 19; d 3.244, rel. 24; d 3.153, rel. 57; d 3.026, rel. 50; d 2.914, rel. 100; d 2.795, rel. 32; d 2.598, rel. 19; d 2.431, rel. 28

***

Record 5
Starting from a DFT-relaxed cell (GGA-PBE, the Materials Project), the powder X-ray diffraction pattern of KPSe3 was calculated for a wavelength of 1.5418 Å.

Cell and atoms:
Cell lengths 7.4477, 7.4477, 19.2868 Å; angles 90.00, 90.00, 120.00 degrees
Space group P3_121 (No. 152)
One atom of each set of equivalent atoms:
K 0.2661 0.5515 0.2459 [6 per cell]
P 0.0624 0.1332 0.4460 [6 per cell]
Se 0.0008 0.7299 0.5590 [6 per cell]
Se 0.0755 0.2528 0.7227 [6 per cell]
Se 0.2025 0.7455 0.0864 [6 per cell]

Most intense lines, 10 to 90 degrees two-theta, in order of rising 2θ:
d 6.448, rel. 36; d 3.862, rel. 32; d 3.218, rel. 77; d 3.181, rel. 100; d 3.058, rel. 23; d 2.883, rel. 32; d 2.680, rel. 21; d 2.474, rel. 43; d 2.278, rel. 18; d 1.677, rel. 21